Theoretical PXRD pattern of Rb2CoBr4 for a wavelength of 1.5418 Å, from a cell relaxed with GGA-PBE.

Crystal structure
```
28
Lattice="9.892 0.000 0.000 0.000 7.736 0.000 0.000 0.000 13.622" Properties=species:S:1:pos:R:3 pbc="T T T"
Rb 0.144 1.934 2.333
Rb 1.250 5.802 5.560
Rb 3.696 1.934 12.371
Rb 4.802 5.802 9.144
Rb 5.090 1.934 4.478
Rb 6.196 5.802 1.251
Rb 8.642 1.934 8.062
Rb 9.748 5.802 11.289
Co 2.243 5.802 1.042
Co 2.703 1.934 7.853
Co 7.189 5.802 5.768
Co 7.649 1.934 12.579
Br 0.147 1.934 12.440
Br 1.789 1.934 5.626
Br 1.816 3.878 8.930
Br 1.816 7.726 8.930
Br 3.130 0.010 2.119
Br 3.130 3.858 2.119
Br 3.157 5.802 12.437
Br 4.799 5.802 5.629
Br 5.093 1.934 7.992
Br 6.735 1.934 1.185
Br 6.762 3.878 11.502
Br 6.762 7.726 11.502
Br 8.076 0.010 4.691
Br 8.076 3.858 4.691
Br 8.103 5.802 7.995
Br 9.745 5.802 1.181
```

Peak list (6 most intense, 10° ≤ 2θ ≤ 90°, sorted by position)
- 22.99°, rel. 421, (0 2 0)
- 26.17°, rel. 586, (0 0 4)
- 27.84°, rel. 793, (3 0 1)
- 28.02°, rel. 822, (1 2 2)
- 30.06°, rel. 1000, (2 2 1)
- 33.59°, rel. 381, (3 0 3)